(1)
Theoretical powder diffraction line list
Compound: Mg2In2Au
Radiation: Cu Ka
Structure: a cell relaxed with PBE
Intensities are scaled so that the largest is 100.

Peak list (10 most intense, 2θ = 10–80°, by intensity)
hkl 1 0 5, 2θ 34.88, rel. 100; hkl 1 0 1, 2θ 27.72, rel. 50; hkl 1 1 0, 2θ 39.11, rel. 41; hkl 2 1 5, 2θ 68.15, rel. 28; hkl 0 0 6, 2θ 25.50, rel. 25; hkl 0 0 4, 2θ 16.92, rel. 23; hkl 1 1 6, 2θ 47.27, rel. 19; hkl 1 0 11, 2θ 55.91, rel. 17; hkl 1 1 10, 2θ 59.65, rel. 15; hkl 2 0 0, 2θ 56.50, rel. 14

Cell and atoms:
Cell lengths 3.2573, 3.2573, 20.9575 Å; angles 90.00, 90.00, 90.00 degrees
Space group I4/mmm (No. 139)
Unique sites:
Mg 0.0000 0.0000 0.0786
In 0.0000 0.0000 0.3113
Au 0.0000 0.0000 0.5000

=====

(2)
Theoretical powder diffraction line list
Compound: MgIn2Au
Radiation: Cu Ka
Structure: a cell relaxed with PBE
Intensities are scaled so that the largest is 100.

Peak list (10 most intense, 2θ = 10–80°, by intensity)
hkl 1 1 1, 2θ 32.66, rel. 100; hkl 3 1 -1, 2θ 40.47, rel. 85; hkl 2 0 -2, 2θ 33.40, rel. 45; hkl 2 2 -2, 2θ 63.61, rel. 27; hkl 2 0 0, 2θ 19.92, rel. 24; hkl 2 0 2, 2θ 40.74, rel. 24; hkl 1 1 -3, 2θ 53.65, rel. 20; hkl 1 1 -1, 2θ 30.55, rel. 17; hkl 2 0 -1, 2θ 22.56, rel. 15; hkl 0 0 1, 2θ 15.42, rel. 15

Cell and atoms:
Cell lengths 9.1116, 3.4912, 5.8765 Å; angles 90.00, 102.00, 90.00 degrees
Space group Cm (No. 8)
Unique sites:
Mg 0.0000 0.0000 0.0000
In 0.0233 0.5000 0.5642
In 0.2601 0.5000 0.2740
Au 0.2666 0.0000 0.8307

=====

(3)
Theoretical powder diffraction line list
Compound: Mg4InAu
Radiation: Cu Ka
Structure: a cell relaxed with PBE
Intensities are scaled so that the largest is 100.

Peak list (10 most intense, 2θ = 10–80°, by intensity)
hkl 1 1 -1, 2θ 22.32, rel. 100; hkl 1 1 1, 2θ 24.35, rel. 97; hkl 0 2 2, 2θ 37.84, rel. 49; hkl 2 2 0, 2θ 38.40, rel. 47; hkl 2 0 -2, 2θ 36.96, rel. 27; hkl 1 3 -1, 2θ 43.33, rel. 25; hkl 2 0 2, 2θ 42.02, rel. 21; hkl 1 1 -3, 2θ 44.27, rel. 20; hkl 3 1 -1, 2θ 45.23, rel. 19; hkl 0 2 0, 2θ 25.69, rel. 18

Cell and atoms:
Cell lengths 6.4110, 6.9366, 6.5793 Å; angles 90.00, 97.04, 90.00 degrees
Space group C2/m (No. 12)
Unique sites:
Mg 0.2440 0.2288 0.2320
In 0.0000 0.0000 0.5000
Au 0.0000 0.5000 0.0000

=====

(4)
Theoretical powder diffraction line list
Compound: MgIn4Au5
Radiation: Cu Ka
Structure: a cell relaxed with PBE
Intensities are scaled so that the largest is 100.

Peak list (10 most intense, 2θ = 10–80°, by intensity)
hkl 2 0 1, 2θ 40.64, rel. 100; hkl 0 1 2, 2θ 33.29, rel. 86; hkl 0 1 -3, 2θ 39.74, rel. 74; hkl -2 1 1, 2θ 33.01, rel. 73; hkl 0 2 -1, 2θ 32.70, rel. 69; hkl 2 1 -2, 2θ 41.17, rel. 57; hkl 1 2 -1, 2θ 39.16, rel. 47; hkl 1 -2 2, 2θ 41.61, rel. 42; hkl 1 0 2, 2θ 35.66, rel. 39; hkl 1 0 -2, 2θ 25.98, rel. 38

Cell and atoms:
Cell lengths 5.6974, 5.7504, 7.3026 Å; angles 96.38, 106.98, 102.99 degrees
Space group P1 (No. 1)
Unique sites:
Mg 0.0000 0.0000 0.0000
In 0.2652 0.8465 0.5030
In 0.5518 0.6591 0.1810
In 0.5753 0.4186 0.7668
In 0.8978 0.2592 0.4705
Au 0.1768 0.6328 0.8175
Au 0.3503 0.2740 0.3531
Au 0.5441 0.0988 0.0399
Au 0.7797 0.8135 0.5952
Au 0.9884 0.5145 0.1367

=====

(5)
Theoretical powder diffraction line list
Compound: Mg2In2Au3
Radiation: Cu Ka
Structure: a cell relaxed with PBE
Intensities are scaled so that the largest is 100.

Peak list (10 most intense, 2θ = 10–80°, by intensity)
hkl 1 0 1, 2θ 32.39, rel. 100; hkl 0 1 2, 2θ 33.73, rel. 58; hkl 1 0 5, 2θ 42.05, rel. 47; hkl 1 0 6, 2θ 45.90, rel. 41; hkl 0 0 4, 2θ 21.23, rel. 33; hkl 1 1 0, 2θ 56.90, rel. 31; hkl 0 1 3, 2θ 35.86, rel. 25; hkl 0 1 7, 2θ 50.15, rel. 22; hkl 0 0 5, 2θ 26.63, rel. 18; hkl 0 0 12, 2θ 67.04, rel. 17

Cell and atoms:
Cell lengths 3.2363, 3.2363, 16.7378 Å; angles 90.00, 90.00, 120.00 degrees
Space group P-3m1 (No. 164)
Unique sites:
Mg 0.3333 0.6667 0.1267
In 0.3333 0.6667 0.5838
Au 0.0000 0.0000 0.0000
Au 0.3333 0.6667 0.7526

=====

(6)
Theoretical powder diffraction line list
Compound: Mg2InAu5
Radiation: Cu Ka
Structure: a cell relaxed with PBE
Intensities are scaled so that the largest is 100.

Peak list (10 most intense, 2θ = 10–80°, by intensity)
hkl 2 2 1, 2θ 37.25, rel. 100; hkl 0 0 2, 2θ 40.60, rel. 20; hkl 0 4 0, 2θ 41.38, rel. 19; hkl 2 2 3, 2θ 71.67, rel. 15; hkl 2 6 1, 2θ 72.74, rel. 14; hkl 0 2 1, 2θ 28.67, rel. 14; hkl 0 4 2, 2θ 59.36, rel. 13; hkl 4 0 0, 2θ 47.60, rel. 12; hkl 4 4 2, 2θ 79.40, rel. 11; hkl 2 0 0, 2θ 23.28, rel. 11

Cell and atoms:
Cell lengths 7.6420, 8.7282, 4.4437 Å; angles 90.00, 90.00, 90.00 degrees
Space group Cmmm (No. 65)
Unique sites:
Mg 0.0000 0.2251 0.0000
In 0.0000 0.5000 0.5000
Au 0.0000 0.0000 0.5000
Au 0.2315 0.5000 0.0000
Au 0.2500 0.2500 0.5000

=====

(7)
Theoretical powder diffraction line list
Compound: Mg2In2Au7
Radiation: Cu Ka
Structure: a cell relaxed with PBE
Intensities are scaled so that the largest is 100.

Peak list (10 most intense, 2θ = 10–80°, by intensity)
hkl 1 3 1, 2θ 38.10, rel. 100; hkl 4 0 0, 2θ 36.24, rel. 88; hkl 2 2 0, 2θ 27.88, rel. 84; hkl 3 3 -1, 2θ 43.98, rel. 79; hkl 0 0 2, 2θ 33.36, rel. 78; hkl 3 1 -2, 2θ 41.12, rel. 56; hkl 1 1 -1, 2θ 20.43, rel. 44; hkl 1 1 2, 2θ 37.67, rel. 43; hkl 3 3 1, 2θ 47.49, rel. 42; hkl 1 3 -1, 2θ 36.72, rel. 41

Cell and atoms:
Cell lengths 10.0526, 8.3770, 5.4447 Å; angles 90.00, 99.44, 90.00 degrees
Space group C2/m (No. 12)
Unique sites:
Mg 0.0000 0.2078 0.0000
In 0.2499 0.0000 0.2994
Au 0.0000 0.0000 0.5000
Au 0.0242 0.5000 0.2591
Au 0.2245 0.1716 0.7682

=====

(8)
Theoretical powder diffraction line list
Compound: Mg2InPbAu4
Radiation: Cu Ka
Structure: a cell relaxed with PBE
Intensities are scaled so that the largest is 100.

Peak list (10 most intense, 2θ = 10–80°, by intensity)
hkl 0 1 8, 2θ 35.10, rel. 100; hkl 1 1 0, 2θ 38.51, rel. 94; hkl 2 0 8, 2θ 53.08, rel. 31; hkl 1 2 8, 2θ 67.46, rel. 30; hkl 0 1 2, 2θ 22.97, rel. 30; hkl 1 0 4, 2θ 25.82, rel. 30; hkl 1 0 10, 2θ 40.83, rel. 21; hkl 3 0 0, 2θ 69.66, rel. 17; hkl 1 0 16, 2θ 60.64, rel. 12; hkl 1 0 7, 2θ 32.46, rel. 10

Cell and atoms:
Cell lengths 4.6758, 4.6758, 26.3788 Å; angles 90.00, 90.00, 120.00 degrees
Space group R-3m (No. 166, hexagonal axes)
Unique sites:
Mg 0.0000 0.0000 0.2437
In 0.0000 0.0000 0.5000
Pb 0.0000 0.0000 0.0000
Au 0.0000 0.0000 0.1249
Au 0.0000 0.0000 0.3898

=====

(9)
Theoretical powder diffraction line list
Compound: SrMg2InAu2
Radiation: Cu Ka
Structure: a cell relaxed with PBE
Intensities are scaled so that the largest is 100.

Peak list (10 most intense, 2θ = 10–80°, by intensity)
hkl 0 1 1, 2θ 24.81, rel. 100; hkl 1 0 2, 2θ 32.72, rel. 98; hkl 1 1 0, 2θ 37.87, rel. 82; hkl 0 1 3, 2θ 43.05, rel. 29; hkl 0 2 2, 2θ 50.90, rel. 28; hkl 2 1 2, 2θ 65.16, rel. 27; hkl 2 0 1, 2θ 45.81, rel. 20; hkl 1 1 4, 2θ 64.19, rel. 20; hkl 1 2 1, 2θ 60.89, rel. 18; hkl 0 0 1, 2θ 12.07, rel. 15

Cell and atoms:
Cell lengths 4.7513, 4.7513, 7.3303 Å; angles 90.00, 90.00, 120.00 degrees
Space group P-3m1 (No. 164)
Unique sites:
Sr 0.0000 0.0000 0.0000
Mg 0.3333 0.6667 0.6746
In 0.0000 0.0000 0.5000
Au 0.3333 0.6667 0.2784

=====

(10)
Theoretical powder diffraction line list
Compound: MnInAu5
Radiation: Cu Ka
Structure: a cell relaxed with PBE
Intensities are scaled so that the largest is 100.

Peak list (10 most intense, 2θ = 10–80°, by intensity)
hkl 1 1 2, 2θ 38.09, rel. 100; hkl 2 0 0, 2θ 45.22, rel. 31; hkl 3 1 2, 2θ 78.70, rel. 25; hkl 2 0 4, 2θ 63.65, rel. 23; hkl 0 0 4, 2θ 42.32, rel. 19; hkl 0 0 2, 2θ 20.80, rel. 14; hkl 1 1 6, 2θ 74.59, rel. 14; hkl 1 1 0, 2θ 31.55, rel. 11; hkl 2 2 0, 2θ 65.87, rel. 10; hkl 1 0 0, 2θ 22.16, rel. 10

Cell and atoms:
Cell lengths 4.0107, 4.0107, 8.5419 Å; angles 90.00, 90.00, 90.00 degrees
Space group P4/mmm (No. 123)
Unique sites:
Mn 0.0000 0.0000 0.0000
In 0.5000 0.5000 0.5000
Au 0.0000 0.5000 0.2524
Au 0.5000 0.5000 0.0000

=====

(11)
Theoretical powder diffraction line list
Compound: Na16In12Au
Radiation: Cu Ka
Structure: a cell relaxed with PBE
Intensities are scaled so that the largest is 100.

Peak list (10 most intense, 2θ = 10–80°, by intensity)
hkl 1 3 0, 2θ 18.54, rel. 100; hkl 2 0 0, 2θ 18.25, rel. 88; hkl 3 5 -2, 2θ 36.11, rel. 78; hkl 4 2 -2, 2θ 32.38, rel. 78; hkl 1 5 -2, 2θ 32.56, rel. 72; hkl 1 3 -1, 2θ 18.66, rel. 57; hkl 0 2 0, 2θ 10.74, rel. 52; hkl 4 0 -1, 2θ 32.08, rel. 51; hkl 3 1 1, 2θ 35.27, rel. 49; hkl 1 7 0, 2θ 39.34, rel. 44

Cell and atoms:
Cell lengths 11.7319, 16.5040, 10.0461 Å; angles 90.00, 123.94, 90.00 degrees
Space group Cm (No. 8)
Unique sites:
Na 0.0000 0.0000 0.0000
Na 0.0030 0.0000 0.3602
Na 0.0179 0.3062 0.6616
Na 0.0510 0.3767 0.3784
Na 0.2020 0.2060 0.0378
Na 0.3091 0.0000 0.0682
Na 0.3218 0.3220 0.3606
Na 0.3480 0.3402 0.7688
Na 0.3937 0.0000 0.6889
Na 0.4323 0.1499 0.9442
In 0.0930 0.0934 0.7223
In 0.1346 0.5000 0.1752
In 0.1841 0.1858 0.5378
In 0.2265 0.4051 0.9891
In 0.2622 0.0927 0.3370
In 0.3185 0.5000 0.5482
In 0.4954 0.3072 0.1713
Au 0.1936 0.5000 0.7246

=====

(12)
Theoretical powder diffraction line list
Compound: Na4In5Au2
Radiation: Cu Ka
Structure: a cell relaxed with PBE
Intensities are scaled so that the largest is 100.

Peak list (10 most intense, 2θ = 10–80°, by intensity)
hkl 0 1 0, 2θ 26.44, rel. 100; hkl 3 0 -1, 2θ 35.16, rel. 80; hkl 2 0 3, 2θ 35.64, rel. 60; hkl 1 0 -4, 2θ 35.87, rel. 57; hkl 3 1 -1, 2θ 44.51, rel. 48; hkl 2 1 3, 2θ 44.92, rel. 44; hkl 1 1 -4, 2θ 45.11, rel. 42; hkl 1 0 -1, 2θ 13.83, rel. 37; hkl 1 1 2, 2θ 34.06, rel. 35; hkl 1 0 2, 2θ 21.09, rel. 30

Cell and atoms:
Cell lengths 7.8058, 3.3708, 10.3949 Å; angles 90.00, 93.17, 90.00 degrees
Space group P2/m (No. 10)
Unique sites:
Na 0.1583 0.0000 0.3805
Na 0.2537 0.0000 0.9503
In 0.1960 0.5000 0.6732
In 0.4265 0.5000 0.1999
In 0.5000 0.5000 0.5000
Au 0.0604 0.5000 0.1383

=====

(13)
Theoretical powder diffraction line list
Compound: Na2In3Au
Radiation: Cu Ka
Structure: a cell relaxed with PBE
Intensities are scaled so that the largest is 100.

Peak list (10 most intense, 2θ = 10–80°, by intensity)
hkl 0 1 3, 2θ 35.57, rel. 100; hkl 1 0 0, 2θ 25.77, rel. 83; hkl 1 1 1, 2θ 33.15, rel. 77; hkl 1 1 3, 2θ 44.44, rel. 76; hkl 0 1 1, 2θ 20.50, rel. 64; hkl 0 2 0, 2θ 36.08, rel. 50; hkl 1 0 2, 2θ 32.97, rel. 38; hkl 1 2 0, 2θ 44.87, rel. 38; hkl 2 1 3, 2θ 65.44, rel. 33; hkl 0 0 2, 2θ 20.22, rel. 32

Cell and atoms:
Cell lengths 3.4572, 4.9790, 8.7845 Å; angles 90.00, 90.00, 90.00 degrees
Space group Pmm2 (No. 25)
Unique sites:
Na 0.0000 0.0000 0.0000
Na 0.0000 0.5000 0.4639
In 0.5000 0.0000 0.6297
In 0.5000 0.5000 0.1566
In 0.5000 0.5000 0.8136
Au 0.5000 0.0000 0.3087

=====

(14)
Theoretical powder diffraction line list
Compound: Na3In2Au7
Radiation: Cu Ka
Structure: a cell relaxed with PBE
Intensities are scaled so that the largest is 100.

Peak list (10 most intense, 2θ = 10–80°, by intensity)
hkl 1 0 1, 2θ 18.15, rel. 100; hkl 1 1 6, 2θ 36.89, rel. 78; hkl 2 0 5, 2θ 39.77, rel. 77; hkl 0 2 7, 2θ 42.99, rel. 49; hkl 0 0 6, 2θ 19.19, rel. 40; hkl 0 0 12, 2θ 38.95, rel. 38; hkl 0 2 1, 2θ 36.33, rel. 31; hkl 2 2 12, 2θ 78.51, rel. 30; hkl 2 2 0, 2θ 65.07, rel. 28; hkl 2 0 2, 2θ 36.77, rel. 22

Cell and atoms:
Cell lengths 5.7338, 5.7338, 27.7478 Å; angles 90.00, 90.00, 120.00 degrees
Space group R-3m (No. 166, hexagonal axes)
Unique sites:
Na 0.0000 0.0000 0.0000
Na 0.0000 0.0000 0.1422
In 0.0000 0.0000 0.3328
Au 0.0000 0.0000 0.5000
Au 0.0032 0.5016 0.9147